(1)
CsCd6Hg4: theoretical PXRD pattern (Cu Ka), based on a crystal structure in Alexandria, relaxed with GGA-PBE.
No peak broadening, texture or thermal motion is included.

abc: 8.3456 8.3456 5.0086
angles: 90.00 90.00 120.00
Space group P-6m2 (No. 187)
Symmetry-distinct sites (fractional):
Cs: 0.0000 0.0000 0.0000 (multiplicity 1)
Cd: 0.2073 0.4146 0.5000 (multiplicity 3)
Cd: 0.5403 0.0806 0.0000 (multiplicity 3)
Hg: 0.3333 0.6667 0.0000 (multiplicity 1)
Hg: 0.3985 0.1992 0.5000 (multiplicity 3)

Principal peaks in the range 15 to 90 degrees two-theta, in order of rising 2θ:
h k l, 2θ/deg, I (rel.)
2 0 0, 24.6, 23
1 1 1, 27.8, 48
2 0 1, 30.5, 91
2 1 0, 32.8, 50
0 0 2, 35.9, 53
2 1 1, 37.5, 100
3 0 1, 41.6, 42
2 2 0, 43.4, 30
2 1 2, 49.4, 31
2 2 2, 57.5, 26
2 1 3, 65.5, 19
5 0 1, 67.4, 25

=====

(2)
Cs3CdHg2: theoretical PXRD pattern (Cu Ka), based on a crystal structure in Alexandria, relaxed with GGA-PBE.
No peak broadening, texture or thermal motion is included.

abc: 19.403 5.285 14.620
angles: 90.00 110.40 90.00
Space group C2/m (No. 12)
Symmetry-distinct sites (fractional):
Cs: 0.055 0.000 0.265 (multiplicity 4)
Cs: 0.146 0.500 0.010 (multiplicity 4)
Cs: 0.209 0.000 0.611 (multiplicity 4)
Cd: 0.092 0.500 0.705 (multiplicity 4)
Hg: 0.067 0.500 0.467 (multiplicity 4)
Hg: 0.149 0.000 0.824 (multiplicity 4)

Principal peaks in the range 15 to 90 degrees two-theta, in order of rising 2θ:
h k l, 2θ/deg, I (rel.)
1 1 1, 19.2, 65
1 1 -2, 20.7, 94
3 1 -1, 21.8, 68
4 0 1, 22.7, 55
1 1 2, 22.8, 56
6 0 -1, 27.8, 50
3 1 -4, 30.3, 90
5 1 1, 32.4, 58
1 1 4, 32.9, 52
3 1 3, 33.0, 63
0 2 0, 33.9, 80
2 0 5, 37.4, 100